Entry 1:
# KTb3F12
Theoretical PXRD pattern, Cu Kα. Input: DFT lattice parameters and positions (GGA-PBE).

Most intense lines, 2θ = 10–80°, by angle:
index	d_spacing	I_rel
1 0 1	5.612	29
2 0 0	4.014	100
1 1 2	3.228	82
2 2 0	2.838	15
1 3 2	2.131	73
4 0 0	2.007	23
4 2 0	1.795	16
2 0 4	1.763	20
3 3 2	1.704	23
1 5 2	1.461	16

Atomic structure:
```
data_KTb3F12
_symmetry_space_group_name_H-M 'I 4/m'
_symmetry_Int_Tables_number 87
_symmetry_space_group_name_Hall '-I 4'
_cell_length_a 8.0277
_cell_length_b 8.0277
_cell_length_c 7.8478
_cell_angle_alpha 90.00
_cell_angle_beta 90.00
_cell_angle_gamma 90.00
loop_
_atom_site_label
_atom_site_fract_x
_atom_site_fract_y
_atom_site_fract_z
_atom_site_occupancy
K1 0.0000 0.0000 0.0000 1
Tb1 0.0000 0.0000 0.5000 1
Tb2 0.0000 0.5000 0.2500 1
F1 0.0033 0.6580 0.0000 1
F2 0.0051 0.7713 0.3257 1
```

Entry 2:
# K2TcF5
Theoretical PXRD pattern, Cu Kα. Input: DFT lattice parameters and positions (GGA-PBE).

Most intense lines, 2θ = 10–80°, by angle:
index	d_spacing	I_rel
1 1 0	6.382	100
1 1 -1	3.949	24
2 0 -1	3.866	26
2 2 0	3.191	14
0 2 1	3.010	18
1 3 -1	2.573	8
0 4 0	2.398	14
2 0 -2	2.167	12
4 0 0	2.137	9
1 1 -2	2.052	10

Atomic structure:
```
data_K2TcF5
_symmetry_space_group_name_H-M 'C 1 m 1'
_symmetry_Int_Tables_number 8
_symmetry_space_group_name_Hall 'C -2y'
_cell_length_a 9.5679
_cell_length_b 9.5904
_cell_length_c 4.3339
_cell_angle_alpha 90.00
_cell_angle_beta 116.68
_cell_angle_gamma 90.00
loop_
_atom_site_label
_atom_site_fract_x
_atom_site_fract_y
_atom_site_fract_z
_atom_site_occupancy
K1 0.0000 0.2313 0.0000 1
Tc1 0.1992 0.0000 0.6970 1
F1 0.1927 0.0000 0.1905 1
F2 0.1936 0.2144 0.6917 1
F3 0.4325 0.0000 0.9293 1
F4 0.4657 0.5000 0.4648 1
```

Entry 3:
# K3TcF6
Theoretical PXRD pattern, Cu Kα. Input: DFT lattice parameters and positions (GGA-PBE).

Most intense lines, 2θ = 10–80°, by angle:
index	d_spacing	I_rel
0 0 2	5.304	24
1 1 1	5.189	69
0 2 0	4.595	19
0 2 2	3.473	60
2 0 2	3.143	100
2 2 0	2.974	18
0 4 0	2.297	33
2 2 4	1.980	42
2 4 2	1.855	37
4 2 2	1.701	15

Atomic structure:
```
data_K3TcF6
_symmetry_space_group_name_H-M 'F m m m'
_symmetry_Int_Tables_number 69
_symmetry_space_group_name_Hall '-F 2 2'
_cell_length_a 7.8052
_cell_length_b 9.1893
_cell_length_c 10.6089
_cell_angle_alpha 90.00
_cell_angle_beta 90.00
_cell_angle_gamma 90.00
loop_
_atom_site_label
_atom_site_fract_x
_atom_site_fract_y
_atom_site_fract_z
_atom_site_occupancy
K1 0.0000 0.0000 0.0000 1
K2 0.2500 0.2500 0.2500 1
Tc1 0.0000 0.0000 0.5000 1
F1 0.0000 0.2267 0.5000 1
F2 0.1942 0.0000 0.3715 1
```

Entry 4:
# KTc2F11
Theoretical PXRD pattern, Cu Kα. Input: DFT lattice parameters and positions (GGA-PBE).

Most intense lines, 2θ = 10–80°, by angle:
index	d_spacing	I_rel
0 0 2	5.552	96
1 1 2	4.282	68
1 2 1	3.987	91
2 1 1	3.961	100
0 2 2	3.625	22
2 0 2	3.600	17
1 3 0	3.024	17
2 1 3	2.788	18
2 2 4	2.142	39
3 3 2	2.080	36

Atomic structure:
```
data_KTc2F11
_symmetry_space_group_name_H-M 'I b a m'
_symmetry_Int_Tables_number 72
_symmetry_space_group_name_Hall '-I 2 2c'
_cell_length_a 9.4588
_cell_length_b 9.5745
_cell_length_c 11.1033
_cell_angle_alpha 90.00
_cell_angle_beta 90.00
_cell_angle_gamma 90.00
loop_
_atom_site_label
_atom_site_fract_x
_atom_site_fract_y
_atom_site_fract_z
_atom_site_occupancy
K1 0.0000 0.0000 0.2500 1
Tc1 0.1476 0.3443 0.0000 1
F1 0.0000 0.5000 0.0000 1
F2 0.0433 0.2501 0.1204 1
F3 0.2193 0.2985 0.5000 1
F4 0.2501 0.0593 0.3796 1
```

Entry 5:
# KTcF4
Theoretical PXRD pattern, Cu Kα. Input: DFT lattice parameters and positions (GGA-PBE).

Most intense lines, 2θ = 10–80°, by angle:
index	d_spacing	I_rel
1 1 0	4.694	14
1 0 1	4.448	100
0 0 2	2.997	11
2 1 1	2.660	27
1 1 2	2.526	29
2 2 0	2.347	22
1 0 3	1.913	9
3 2 1	1.760	20
3 1 2	1.719	13
4 0 0	1.658	12

Atomic structure:
```
data_KTcF4
_symmetry_space_group_name_H-M 'I -4'
_symmetry_Int_Tables_number 82
_symmetry_space_group_name_Hall 'I -4'
_cell_length_a 6.6377
_cell_length_b 6.6377
_cell_length_c 5.9933
_cell_angle_alpha 90.00
_cell_angle_beta 90.00
_cell_angle_gamma 90.00
loop_
_atom_site_label
_atom_site_fract_x
_atom_site_fract_y
_atom_site_fract_z
_atom_site_occupancy
K1 0.0000 0.0000 0.0000 1
Tc1 0.0000 0.5000 0.7500 1
F1 0.2085 0.2904 0.7494 1
```

Entry 6:
# KTcF5
Theoretical PXRD pattern, Cu Kα. Input: DFT lattice parameters and positions (GGA-PBE).

Most intense lines, 2θ = 10–80°, by angle:
index	d_spacing	I_rel
1 1 0	5.744	92
2 0 0	4.529	100
0 2 0	3.715	50
0 0 2	3.680	17
1 1 -2	3.505	98
1 1 2	2.808	15
4 0 0	2.264	26
1 3 -2	2.102	24
2 0 -4	1.987	18
2 2 -4	1.752	14

Atomic structure:
```
data_KTcF5
_symmetry_space_group_name_H-M 'C 1 2/c 1'
_symmetry_Int_Tables_number 15
_symmetry_space_group_name_Hall '-C 2yc'
_cell_length_a 9.7857
_cell_length_b 7.4297
_cell_length_c 7.9528
_cell_angle_alpha 90.00
_cell_angle_beta 112.25
_cell_angle_gamma 90.00
loop_
_atom_site_label
_atom_site_fract_x
_atom_site_fract_y
_atom_site_fract_z
_atom_site_occupancy
K1 0.0000 0.0327 0.2500 1
Tc1 0.0000 0.5000 0.0000 1
F1 0.0000 0.4381 0.2500 1
F2 0.0201 0.2418 0.9722 1
F3 0.2122 0.4727 0.6041 1
```

Entry 7:
# K6Te2F
Theoretical PXRD pattern, Cu Kα. Input: DFT lattice parameters and positions (GGA-PBE).

Most intense lines, 2θ = 10–80°, by angle:
index	d_spacing	I_rel
0 1 1	7.248	15
1 1 0	4.692	51
0 1 3	4.576	46
2 0 0	2.888	32
1 2 3	2.839	100
0 0 6	2.781	23
2 1 3	2.442	18
1 1 6	2.392	17
2 0 6	2.003	17
3 2 3	1.658	18

Atomic structure:
```
data_K6Te2F
_symmetry_space_group_name_H-M 'I m m m'
_symmetry_Int_Tables_number 71
_symmetry_space_group_name_Hall '-I 2 2'
_cell_length_a 5.7752
_cell_length_b 8.0470
_cell_length_c 16.6871
_cell_angle_alpha 90.00
_cell_angle_beta 90.00
_cell_angle_gamma 90.00
loop_
_atom_site_label
_atom_site_fract_x
_atom_site_fract_y
_atom_site_fract_z
_atom_site_occupancy
K1 0.0000 0.2345 0.0000 1
K2 0.0000 0.2598 0.3420 1
Te1 0.0000 0.5000 0.1642 1
F1 0.0000 0.5000 0.5000 1
```

Entry 8:
# KTeF6
Theoretical PXRD pattern, Cu Kα. Input: DFT lattice parameters and positions (GGA-PBE).

Most intense lines, 2θ = 10–80°, by angle:
index	d_spacing	I_rel
1 1 0	5.116	100
0 2 0	3.958	40
1 1 -1	3.904	75
1 1 1	3.388	53
2 0 0	3.346	24
0 2 1	3.133	25
1 3 1	2.158	32
0 2 2	2.151	34
3 1 -1	2.119	30
2 2 -2	1.952	14

Atomic structure:
```
data_KTeF6
_symmetry_space_group_name_H-M 'C 1 2/m 1'
_symmetry_Int_Tables_number 12
_symmetry_space_group_name_Hall '-C 2y'
_cell_length_a 6.8087
_cell_length_b 7.9160
_cell_length_c 5.2154
_cell_angle_alpha 90.00
_cell_angle_beta 100.62
_cell_angle_gamma 90.00
loop_
_atom_site_label
_atom_site_fract_x
_atom_site_fract_y
_atom_site_fract_z
_atom_site_occupancy
K1 0.0000 0.0000 0.0000 1
Te1 0.0000 0.5000 0.5000 1
F1 0.0981 0.3266 0.7669 1
F2 0.2304 0.0000 0.5918 1
```